Theoretical powder X-ray diffraction pattern
Compound: Ba5Bi2TeP
Radiation: Cu Kα
Structure: the GGA-PBE geometry in Alexandria
Neutral-atom scattering factors, no anomalous dispersion.

Atomic structure:
```
data_Ba5Bi2TeP
_cell_length_a 5.716
_cell_length_b 8.448
_cell_length_c 17.556
_cell_angle_alpha 90.00
_cell_angle_beta 90.00
_cell_angle_gamma 90.00
_space_group_name_H-M_alt 'I m m m'
_space_group_IT_number 71
_space_group_name_Hall '-I 2 2'
loop_
_atom_site_label
_atom_site_type_symbol
_atom_site_fract_x
_atom_site_fract_y
_atom_site_fract_z
Ba1 Ba 0.000 0.000 0.000
Ba2 Ba 0.000 0.246 0.364
Bi1 Bi 0.000 0.000 0.198
Te1 Te 0.000 0.500 0.000
P1 P 0.000 0.500 0.500
```

Top 10 peaks for 2θ = 15–90°, low angle first:
2θ (°)  Rel. int.  h k l
18.74  37  1 1 0
21.32  44  1 1 2
26.73  100  1 2 1
29.35  66  0 2 4
29.86  56  1 0 5
30.42  46  1 2 3
31.30  51  2 0 0
43.44  45  2 2 4
53.04  38  1 4 5
53.98  22  2 4 0